This entry pairs a crystal structure of LaZn2Cd8Ag with its simulated XRD peak list. Radiation: a wavelength of 1.5418 Å. Structure: a crystal structure in Alexandria, relaxed with GGA-PBE.
Peak positions follow from Bragg's law for the DFT cell and can differ from measured ones.

Most intense lines, 10° ≤ 2θ ≤ 80°, sorted by position:
21.53 deg, rel. 16
26.26 deg, rel. 24
28.11 deg, rel. 17
33.43 deg, rel. 29
35.59 deg, rel. 100
36.34 deg, rel. 84
38.78 deg, rel. 21
39.82 deg, rel. 61
41.40 deg, rel. 18
59.72 deg, rel. 22

Atomic structure:
Unit cell a=5.098 b=5.098 c=11.842 alpha=101.60 beta=101.60 gamma=66.88
Fractional coordinates of all 12 atoms:
1 La 0.000 0.000 0.000
2 Zn 0.368 0.368 0.101
3 Zn 0.632 0.632 0.899
4 Cd 0.215 0.720 0.706
5 Cd 0.277 0.277 0.854
6 Cd 0.280 0.785 0.294
7 Cd 0.324 0.324 0.459
8 Cd 0.676 0.676 0.541
9 Cd 0.720 0.215 0.706
10 Cd 0.723 0.723 0.146
11 Cd 0.785 0.280 0.294
12 Ag 0.000 0.000 0.500